The following is a computed powder diffractogram of ZnCu7C4O20. It was derived from a cell relaxed with GGA-PBE, using Cu Kα X-rays.

Atomic structure:
```
data_ZnCu7C4O20
_chemical_formula_sum 'Zn1 Cu7 C4 O20'
_space_group_name_H-M_alt 'P 1'
_space_group_IT_number 1
_cell_length_a 3.106
_cell_length_b 8.987
_cell_length_c 12.331
_cell_angle_alpha 89.96
_cell_angle_beta 89.83
_cell_angle_gamma 83.69
loop_
_space_group_symop_operation_xyz
'x,y,z'
loop_
_atom_site_label
_atom_site_fract_x
_atom_site_fract_y
_atom_site_fract_z
Zn1 0.000 0.000 0.000
Cu1 0.009 0.495 0.716
Cu2 0.193 0.960 0.490
Cu3 0.195 0.459 0.216
Cu4 0.512 0.227 0.818
Cu5 0.524 0.730 0.881
Cu6 0.679 0.724 0.323
Cu7 0.686 0.227 0.386
C1 0.077 0.456 0.968
C2 0.078 0.955 0.732
C3 0.119 0.497 0.471
C4 0.122 0.997 0.241
O1 0.073 0.383 0.874
O2 0.081 0.882 0.824
O3 0.121 0.570 0.377
O4 0.133 0.070 0.334
O5 0.241 0.392 0.050
O6 0.245 0.892 0.648
O7 0.271 0.356 0.472
O8 0.278 0.857 0.238
O9 0.480 0.120 0.942
O10 0.498 0.616 0.758
O11 0.527 0.361 0.700
O12 0.534 0.858 0.999
O13 0.671 0.592 0.202
O14 0.673 0.093 0.506
O15 0.705 0.838 0.446
O16 0.709 0.339 0.260
O17 0.912 0.094 0.730
O18 0.920 0.596 0.969
O19 0.950 0.062 0.159
O20 0.959 0.563 0.554
```

Peak list (10 most intense, 2θ from 10° to 80°, low angle first)
- 14.37 deg, intensity 81
- 17.48 deg, intensity 82
- 24.61 deg, intensity 81
- 32.43 deg, intensity 22
- 33.42 deg, intensity 100
- 34.22 deg, intensity 26
- 35.38 deg, intensity 68
- 37.18 deg, intensity 27
- 37.89 deg, intensity 20
- 58.75 deg, intensity 20

The following is a computed powder diffractogram of Y5Ni2Te2. It was derived from a cell relaxed with GGA-PBE, using Cu Kα X-rays.

Atomic structure:
```
data_Y5Ni2Te2
_chemical_formula_sum 'Y20 Ni8 Te8'
_space_group_name_H-M_alt 'P 1'
_space_group_IT_number 1
_cell_length_a 14.461
_cell_length_b 4.045
_cell_length_c 15.812
_cell_angle_alpha 90.00
_cell_angle_beta 90.00
_cell_angle_gamma 90.00
loop_
_space_group_symop_operation_xyz
'x,y,z'
loop_
_atom_site_label
_atom_site_fract_x
_atom_site_fract_y
_atom_site_fract_z
Y1 0.115 0.250 0.190
Y2 0.118 0.250 0.553
Y3 0.139 0.750 0.003
Y4 0.150 0.750 0.741
Y5 0.208 0.750 0.375
Y6 0.292 0.250 0.875
Y7 0.350 0.250 0.241
Y8 0.361 0.250 0.503
Y9 0.382 0.750 0.053
Y10 0.385 0.750 0.690
Y11 0.615 0.250 0.310
Y12 0.618 0.250 0.947
Y13 0.639 0.750 0.497
Y14 0.650 0.750 0.759
Y15 0.708 0.750 0.125
Y16 0.792 0.250 0.625
Y17 0.850 0.250 0.259
Y18 0.861 0.250 0.997
Y19 0.882 0.750 0.447
Y20 0.885 0.750 0.810
Ni1 0.240 0.750 0.178
Ni2 0.247 0.750 0.566
Ni3 0.253 0.250 0.066
Ni4 0.260 0.250 0.678
Ni5 0.740 0.750 0.322
Ni6 0.747 0.750 0.934
Ni7 0.753 0.250 0.434
Ni8 0.760 0.250 0.822
Te1 0.034 0.250 0.372
Te2 0.047 0.250 0.871
Te3 0.453 0.750 0.371
Te4 0.466 0.750 0.872
Te5 0.534 0.250 0.128
Te6 0.547 0.250 0.629
Te7 0.953 0.750 0.129
Te8 0.966 0.750 0.628
```

Peak list (10 most intense, 2θ from 10° to 80°, low angle first)
- 31.00 deg, intensity 87
- 33.24 deg, intensity 81
- 33.58 deg, intensity 100
- 34.05 deg, intensity 41
- 34.60 deg, intensity 48
- 37.47 deg, intensity 42
- 41.36 deg, intensity 43
- 44.81 deg, intensity 66
- 45.38 deg, intensity 38
- 57.83 deg, intensity 38

The following is a computed powder diffractogram of Sr2TaCu2O7. It was derived from a cell relaxed with GGA-PBE, using Cu Kα X-rays.

Atomic structure:
```
data_Sr2TaCu2O7
_chemical_formula_sum 'Sr4 Ta2 Cu4 O14'
_space_group_name_H-M_alt 'P 1'
_space_group_IT_number 1
_cell_length_a 13.523
_cell_length_b 13.523
_cell_length_c 13.523
_cell_angle_alpha 33.12
_cell_angle_beta 156.79
_cell_angle_gamma 156.70
loop_
_space_group_symop_operation_xyz
'x,y,z'
loop_
_atom_site_label
_atom_site_fract_x
_atom_site_fract_y
_atom_site_fract_z
Sr1 0.014 0.128 0.142
Sr2 0.014 0.372 0.386
Sr3 0.986 0.628 0.614
Sr4 0.986 0.872 0.858
Ta1 0.339 0.671 0.168
Ta2 0.503 0.171 0.832
Cu1 0.501 0.566 0.057
Cu2 0.501 0.944 0.436
Cu3 0.509 0.066 0.564
Cu4 0.509 0.444 0.943
O1 0.005 0.182 0.678
O2 0.005 0.827 0.323
O3 0.006 0.332 0.828
O4 0.006 0.677 0.174
O5 0.151 0.811 0.840
O6 0.498 0.238 0.642
O7 0.498 0.355 0.759
O8 0.503 0.177 0.172
O9 0.503 0.832 0.826
O10 0.504 0.327 0.322
O11 0.504 0.682 0.677
O12 0.596 0.738 0.241
O13 0.596 0.855 0.358
O14 0.971 0.311 0.160
```

Peak list (10 most intense, 2θ from 10° to 80°, low angle first)
- 20.56 deg, intensity 47
- 23.07 deg, intensity 13
- 26.91 deg, intensity 100
- 31.09 deg, intensity 36
- 32.80 deg, intensity 24
- 32.92 deg, intensity 20
- 36.21 deg, intensity 26
- 47.16 deg, intensity 21
- 48.29 deg, intensity 16
- 60.79 deg, intensity 14